Computed powder X-ray diffraction pattern
Compound: LaPbW2O8
Radiation: Cu Ka
Structure: the PBE+U geometry in Alexandria

Principal peaks in the range 5 to 70 degrees two-theta, sorted by position:
2θ/deg	d [Å]	I_rel
20.9	4.240	80
26.5	3.360	100
32.8	2.733	53
34.0	2.640	15
39.2	2.297	14
42.6	2.120	29
50.8	1.797	32
52.0	1.759	13
54.8	1.675	28
58.5	1.578	14

Cell and atoms:
```
12
Lattice="5.4661 0.0000 0.0000 -2.7331 4.7338 0.0000 0.0000 0.0000 9.5400" Properties=species:S:1:pos:R:3 pbc="T T T"
La 0.0000 0.0000 0.0000
Pb 0.0000 0.0000 4.7700
W 0.0000 3.1559 2.2341
W 2.7331 1.5779 7.3059
O -0.7844 1.6621 1.5577
O -0.9014 4.5821 1.5577
O 0.0000 3.1559 4.0536
O 1.0472 1.5104 7.9824
O 1.6858 3.2235 1.5577
O 2.7331 1.5779 5.4864
O 3.6345 0.1518 7.9824
O 3.5175 3.0717 7.9824
```